For BaMgBi2O5, a PBE-relaxed structure gives the calculated powder XRD pattern in this record (Cu Ka).
Kinematic intensities with the Lorentz-polarization factor, no thermal factor.

Structure:
a = 4.3029 Å, b = 4.3029 Å, c = 9.4501 Å
α = 90.00°, β = 90.00°, γ = 90.00°
Fractional positions:
1 Ba 0.0000 0.0000 0.0000
2 Mg 0.0000 0.0000 0.5000
3 Bi 0.5000 0.5000 0.2590
4 Bi 0.5000 0.5000 0.7410
5 O 0.0000 0.5000 0.1893
6 O 0.0000 0.5000 0.8107
7 O 0.5000 0.0000 0.1893
8 O 0.5000 0.0000 0.8107
9 O 0.5000 0.5000 0.5000

Top 6 peaks for 10° ≤ 2θ ≤ 90°, by angle:
two_theta, I (rel.)
20.64, 25
28.05, 100
29.35, 40
41.99, 24
48.80, 24
51.26, 39

For NaEuGe4O12, a PBE-relaxed structure gives the calculated powder XRD pattern in this record (Cu Ka).
Kinematic intensities with the Lorentz-polarization factor, no thermal factor.

Structure:
a = 7.7037 Å, b = 5.2292 Å, c = 5.2292 Å
α = 87.80°, β = 90.00°, γ = 90.00°
Fractional positions:
1 Na 0.0000 0.0000 0.0000
2 Eu 0.5000 0.5343 0.5343
3 Ge 0.2367 0.0168 0.5127
4 Ge 0.2367 0.5127 0.0168
5 Ge 0.7633 0.0168 0.5127
6 Ge 0.7633 0.5127 0.0168
7 O 0.0000 0.5651 0.9713
8 O 0.0000 0.9713 0.5651
9 O 0.2059 0.2154 0.2154
10 O 0.2559 0.3147 0.7138
11 O 0.2559 0.7138 0.3147
12 O 0.3020 0.8020 0.8020
13 O 0.5000 0.0600 0.4633
14 O 0.5000 0.4633 0.0600
15 O 0.6980 0.8020 0.8020
16 O 0.7441 0.3147 0.7138
17 O 0.7441 0.7138 0.3147
18 O 0.7941 0.2154 0.2154

Top 6 peaks for 10° ≤ 2θ ≤ 90°, by angle:
two_theta, I (rel.)
16.97, 41
20.54, 100
33.26, 70
33.96, 79
34.32, 77
61.67, 35

For Ce8SbPd24, a PBE-relaxed structure gives the calculated powder XRD pattern in this record (Cu Ka).
Kinematic intensities with the Lorentz-polarization factor, no thermal factor.

Structure:
a = 8.5016 Å, b = 8.5016 Å, c = 8.5016 Å
α = 90.00°, β = 90.00°, γ = 90.00°
Fractional positions:
1 Ce 0.2474 0.2474 0.2474
2 Ce 0.2474 0.2474 0.7526
3 Ce 0.2474 0.7526 0.2474
4 Ce 0.2474 0.7526 0.7526
5 Ce 0.7526 0.2474 0.2474
6 Ce 0.7526 0.2474 0.7526
7 Ce 0.7526 0.7526 0.2474
8 Ce 0.7526 0.7526 0.7526
9 Sb 0.0000 0.0000 0.0000
10 Pd 0.0000 0.0000 0.3169
11 Pd 0.0000 0.0000 0.6831
12 Pd 0.0000 0.2682 0.5000
13 Pd 0.0000 0.3169 0.0000
14 Pd 0.0000 0.5000 0.2682
15 Pd 0.0000 0.5000 0.7318
16 Pd 0.0000 0.6831 0.0000
17 Pd 0.0000 0.7318 0.5000
18 Pd 0.2553 0.5000 0.5000
19 Pd 0.2682 0.0000 0.5000
20 Pd 0.2682 0.5000 0.0000
21 Pd 0.3169 0.0000 0.0000
22 Pd 0.5000 0.0000 0.2682
23 Pd 0.5000 0.0000 0.7318
24 Pd 0.5000 0.2553 0.5000
25 Pd 0.5000 0.2682 0.0000
26 Pd 0.5000 0.5000 0.2553
27 Pd 0.5000 0.5000 0.7447
28 Pd 0.5000 0.7318 0.0000
29 Pd 0.5000 0.7447 0.5000
30 Pd 0.6831 0.0000 0.0000
31 Pd 0.7318 0.0000 0.5000
32 Pd 0.7318 0.5000 0.0000
33 Pd 0.7447 0.5000 0.5000

Top 6 peaks for 10° ≤ 2θ ≤ 90°, by angle:
two_theta, I (rel.)
36.62, 100
38.17, 9
42.53, 55
61.72, 30
73.95, 29
77.84, 9